Diffraction record for NaPtNO. The X-ray diffraction stick pattern is theoretical, not measured: it uses a cell relaxed with PBE and copper Kα.

```
NaPtNO
1.0
3.5664 0.0000 0.0000
0.0000 5.9803 0.0000
0.0000 0.0000 5.6327
Na Pt N O
2 2 2 2
Cartesian
0.0000 1.1848 0.0000 Na
0.0000 4.7955 2.8164 Na
1.7832 1.7793 2.7859 Pt
1.7832 4.2010 5.6023 Pt
0.0000 1.2273 2.5004 N
0.0000 4.7529 5.3168 N
1.7832 2.2633 4.8156 O
1.7832 3.7170 1.9992 O
```

The 8 most intense peaks (15° ≤ 2θ ≤ 90°), by intensity:
Position (°2θ)  I/Imax
21.67  100
33.30  88
24.97  37
31.77  36
29.88  30
57.58  23
44.18  20
40.83  17

---

Diffraction record for NaZnNO. The X-ray diffraction stick pattern is theoretical, not measured: it uses a cell relaxed with PBE and copper Kα.

```
NaZnNO
1.0
4.4528 0.0000 0.0000
0.0000 3.5511 0.0000
0.0000 0.0000 5.8488
Na Zn N O
2 2 2 2
Cartesian
1.1132 0.0000 0.9621 Na
3.3396 0.0000 4.8867 Na
1.1132 1.7755 4.1226 Zn
3.3396 1.7755 1.7262 Zn
1.1132 0.0000 3.2962 N
3.3396 0.0000 2.5526 N
0.0000 1.7755 0.0000 O
2.2264 1.7755 0.0000 O
```

The 8 most intense peaks (15° ≤ 2θ ≤ 90°), by intensity:
Position (°2θ)  I/Imax
35.80  100
25.12  72
36.77  31
58.17  25
40.52  21
53.63  19
51.47  18
51.60  15

---

Diffraction record for NaZnNO. The X-ray diffraction stick pattern is theoretical, not measured: it uses a cell relaxed with PBE and copper Kα.

```
NaZnNO
1.0
4.4934 0.0000 0.0000
0.0000 8.7152 0.0000
0.0000 0.0000 4.4855
Na Zn N O
4 4 4 4
Cartesian
0.0031 1.0039 0.0000 Na
2.2437 1.0039 2.2428 Na
2.2498 7.7113 0.0000 Na
4.4904 7.7113 2.2428 Na
0.0045 5.5148 0.0048 Zn
2.2422 5.5148 2.2476 Zn
2.2512 3.2004 0.0048 Zn
4.4889 3.2004 2.2476 Zn
0.0039 3.5715 0.0075 N
2.2428 3.5715 2.2503 N
2.2506 5.1437 0.0075 N
4.4896 5.1437 2.2503 N
0.0051 7.3522 0.0006 O
2.2416 7.3522 2.2434 O
2.2518 1.3629 0.0006 O
4.4883 1.3629 2.2434 O
```

The 8 most intense peaks (15° ≤ 2θ ≤ 90°), by intensity:
Position (°2θ)  I/Imax
40.17  100
34.97  87
29.96  54
59.09  47
41.45  43
58.12  30
73.87  22
60.61  16

---

Diffraction record for Nb5N6. The X-ray diffraction stick pattern is theoretical, not measured: it uses a cell relaxed with PBE and copper Kα.

```
Nb5N6
1.0
5.2355 0.0000 0.0000
-2.6177 4.5341 0.0000
0.0000 0.0000 10.4208
Nb N
10 12
Cartesian
-0.8513 1.4745 2.6052 Nb
-1.7664 3.0595 7.8156 Nb
1.7027 0.0000 2.6052 Nb
0.8513 1.4745 7.8156 Nb
0.0000 3.0227 0.0000 Nb
0.0000 3.0227 5.2104 Nb
2.6178 1.5114 0.0000 Nb
2.6178 1.5114 5.2104 Nb
3.5328 0.0000 7.8156 Nb
1.7664 3.0595 2.6052 Nb
-0.8840 1.5311 6.4844 N
-0.8840 1.5311 9.1468 N
-1.7338 3.0030 1.2740 N
-1.7338 3.0030 3.9364 N
1.7680 0.0000 6.4844 N
1.7680 0.0000 9.1468 N
0.8840 1.5311 1.2740 N
0.8840 1.5311 3.9364 N
3.4675 0.0000 1.2740 N
3.4675 0.0000 3.9364 N
1.7338 3.0030 6.4844 N
1.7338 3.0030 9.1468 N
```

The 8 most intense peaks (15° ≤ 2θ ≤ 90°), by intensity:
Position (°2θ)  I/Imax
38.49  100
43.28  56
35.35  45
34.42  32
61.34  32
26.05  28
56.45  28
72.27  23

---

Diffraction record for NbN. The X-ray diffraction stick pattern is theoretical, not measured: it uses a cell relaxed with PBE and copper Kα.

```
NbN
1.0
2.9791 0.0000 0.0000
-1.4895 2.5799 0.0000
0.0000 0.0000 11.3537
Nb N
4 4
Cartesian
0.0000 1.7200 1.4014 Nb
0.0000 1.7200 4.2755 Nb
1.4895 0.8600 7.0782 Nb
1.4895 0.8600 9.9523 Nb
0.0000 0.0000 0.0000 N
0.0000 0.0000 2.8384 N
0.0000 0.0000 5.6768 N
0.0000 0.0000 8.5153 N
```

The 8 most intense peaks (15° ≤ 2θ ≤ 90°), by intensity:
Position (°2θ)  I/Imax
35.69  100
42.40  66
31.52  46
47.63  46
62.34  32
53.78  28
71.53  27
34.77  19

---

Diffraction record for NdNb2N. The X-ray diffraction stick pattern is theoretical, not measured: it uses a cell relaxed with PBE and copper Kα.

```
NdNb2N
1.0
3.2214 0.0000 0.0000
-1.6107 2.7898 0.0000
0.0000 0.0000 16.2468
Nd Nb N
2 4 2
Cartesian
0.0000 1.8599 4.0617 Nd
1.6107 0.9299 12.1851 Nd
0.0000 1.8599 9.2667 Nb
0.0000 1.8599 15.1035 Nb
1.6107 0.9299 1.1433 Nb
1.6107 0.9299 6.9801 Nb
0.0000 0.0000 0.0000 N
0.0000 0.0000 8.1234 N
```

The 8 most intense peaks (15° ≤ 2θ ≤ 90°), by intensity:
Position (°2θ)  I/Imax
36.22  100
33.08  23
32.08  20
57.19  19
67.68  18
46.75  17
61.15  16
69.60  14

---

Diffraction record for PrNd2Nb2N6. The X-ray diffraction stick pattern is theoretical, not measured: it uses a cell relaxed with PBE and copper Kα.

```
PrNd2Nb2N6
1.0
-2.0335 2.0335 9.8606
2.0335 -2.0335 9.8606
2.0335 2.0335 -9.8606
Pr Nd Nb N
1 2 2 6
Cartesian
0.0000 0.0000 0.0000 Pr
0.0000 0.0000 3.5288 Nd
0.0000 0.0000 16.1924 Nd
0.0000 0.0000 7.8515 Nb
0.0000 0.0000 11.8697 Nb
2.0335 0.0000 1.6647 N
0.0000 0.0000 5.9007 N
2.0335 0.0000 8.1959 N
0.0000 2.0335 1.6647 N
0.0000 0.0000 13.8205 N
0.0000 2.0335 8.1959 N
```

The 8 most intense peaks (15° ≤ 2θ ≤ 90°), by intensity:
Position (°2θ)  I/Imax
31.60  100
31.10  65
55.65  41
44.56  33
41.73  16
73.66  11
56.59  11
64.84  10

---

Diffraction record for NdSm2Nb2N6. The X-ray diffraction stick pattern is theoretical, not measured: it uses a cell relaxed with PBE and copper Kα.

```
NdSm2Nb2N6
1.0
-2.0259 2.0259 9.7435
2.0259 -2.0259 9.7435
2.0259 2.0259 -9.7435
Nd Sm Nb N
1 2 2 6
Cartesian
0.0000 0.0000 0.0000 Nd
0.0000 0.0000 3.4750 Sm
0.0000 0.0000 16.0120 Sm
0.0000 0.0000 7.7414 Nb
0.0000 0.0000 11.7456 Nb
2.0259 0.0000 1.6516 N
0.0000 0.0000 5.7978 N
2.0259 0.0000 8.0919 N
0.0000 2.0259 1.6516 N
0.0000 0.0000 13.6892 N
0.0000 2.0259 8.0919 N
```

The 8 most intense peaks (15° ≤ 2θ ≤ 90°), by intensity:
Position (°2θ)  I/Imax
31.86  100
31.22  67
55.96  41
44.73  34
42.05  17
73.98  11
65.12  10
22.41  10

---

Diffraction record for Nb4NiPbN2. The X-ray diffraction stick pattern is theoretical, not measured: it uses a cell relaxed with PBE and copper Kα.

```
Nb4NiPbN2
1.0
3.2208 0.0000 0.0000
-1.6104 2.7893 0.0000
0.0000 0.0000 13.2956
Nb Ni Pb N
4 1 1 2
Cartesian
0.0000 0.0000 1.9006 Nb
0.0000 0.0000 11.3951 Nb
0.0000 1.8596 4.2056 Nb
0.0000 1.8596 9.0900 Nb
0.0000 1.8596 0.0000 Ni
0.0000 0.0000 6.6478 Pb
1.6104 0.9298 3.0575 N
1.6104 0.9298 10.2381 N
```

The 8 most intense peaks (15° ≤ 2θ ≤ 90°), by intensity:
Position (°2θ)  I/Imax
38.12  100
32.09  28
57.20  23
34.88  19
70.83  16
72.57  14
40.72  13
52.76  12

---

Diffraction record for Sc2Nb4Ni3N3. The X-ray diffraction stick pattern is theoretical, not measured: it uses a cell relaxed with PBE and copper Kα.

```
Sc2Nb4Ni3N3
1.0
4.6436 -2.6810 0.0000
4.6436 2.6810 0.0000
-3.1301 0.0000 13.1361
Sc Nb Ni N
4 8 6 6
Cartesian
2.3229 2.2447 8.0979 Sc
2.2693 2.2447 11.6062 Sc
3.8879 -2.2447 1.5299 Sc
3.8343 -2.2447 5.0382 Sc
2.2992 0.4467 1.1624 Nb
2.3118 0.4691 5.4064 Nb
0.7342 -0.4467 7.7304 Nb
0.7467 -0.4691 11.9744 Nb
5.4105 0.4691 1.1617 Nb
5.4230 0.4467 5.4056 Nb
3.8454 -0.4691 7.7297 Nb
3.8580 -0.4467 11.9737 Nb
-0.0944 0.8315 9.8611 Ni
1.4706 -0.8315 3.2930 Ni
3.8611 0.4323 3.2840 Ni
2.2961 -0.4323 9.8521 Ni
4.6866 0.8315 9.8431 Ni
6.2516 -0.8315 3.2750 Ni
0.7568 1.3405 6.5680 N
0.7799 1.4087 13.1341 N
3.8122 1.4087 6.5700 N
2.3218 -1.3405 0.0000 N
2.3450 -1.4087 6.5661 N
5.3773 -1.4087 0.0020 N
```

The 8 most intense peaks (15° ≤ 2θ ≤ 90°), by intensity:
Position (°2θ)  I/Imax
39.41  100
41.23  22
34.13  18
19.25  16
43.57  15
19.65  14
59.74  13
33.42  12